For Ge3MoF9, the PBE+U geometry in Alexandria gives the simulated X-ray powder pattern in this record (Cu Kα, 1.54184 Å).
No peak broadening, texture or thermal motion is included.

Cell and atoms:
```
data_Ge3MoF9
_space_group_name_H-M_alt 'P 1'
_space_group_IT_number 1
_space_group_name_Hall 'P 1'
_cell_length_a 7.9332
_cell_length_b 7.9332
_cell_length_c 11.3312
_cell_angle_alpha 115.46
_cell_angle_beta 115.46
_cell_angle_gamma 50.31
loop_
_atom_site_label
_atom_site_type_symbol
_atom_site_fract_x
_atom_site_fract_y
_atom_site_fract_z
_atom_site_occupancy
Ge1 Ge 0.0348 0.9652 0.5000 1
Ge2 Ge 0.1976 0.2692 0.8625 1
Ge3 Ge 0.2692 0.1976 0.3625 1
Ge4 Ge 0.4972 0.6350 0.3573 1
Ge5 Ge 0.6350 0.4972 0.8573 1
Ge6 Ge 0.9652 0.0348 0.0000 1
Mo1 Mo 0.6462 0.9476 0.1512 1
Mo2 Mo 0.9476 0.6462 0.6512 1
F1 F 0.0049 0.8100 0.5768 1
F2 F 0.0278 0.3804 0.4819 1
F3 F 0.0304 0.2811 0.2174 1
F4 F 0.2308 0.9440 0.3401 1
F5 F 0.2632 0.5082 0.7725 1
F6 F 0.2811 0.0304 0.7174 1
F7 F 0.3343 0.6794 0.4730 1
F8 F 0.3804 0.0278 0.9819 1
F9 F 0.4829 0.8942 0.2203 1
F10 F 0.5082 0.2632 0.2725 1
F11 F 0.6188 0.7893 0.5201 1
F12 F 0.6794 0.3343 0.9730 1
F13 F 0.7893 0.6188 0.0201 1
F14 F 0.8100 0.0049 0.0768 1
F15 F 0.8271 0.9243 0.8148 1
F16 F 0.8942 0.4829 0.7203 1
F17 F 0.9243 0.8271 0.3148 1
F18 F 0.9440 0.2308 0.8401 1
```

Most intense lines, 2θ from 15° to 90°, low angle first:
2θ (°)  I (rel.)
19.00  98
20.52  17
22.81  20
24.10  100
25.75  43
27.55  30
32.04  17
38.01  20
40.90  27
45.23  25